# 1
Ho3Tm2: simulated powder X-ray diffraction pattern (Cu Kα, 1.54184 Å), based on a GGA-PBE-relaxed structure.
Neutral-atom scattering factors, no anomalous dispersion.

```
Ho3Tm2
1.0
-3.278 7.789 3.031
3.278 -7.789 3.031
3.278 7.789 -3.031
Ho Tm
6 4
direct
0.093 0.616 0.709
0.250 0.250 0.000
0.407 0.116 0.523
0.593 0.884 0.477
0.750 0.750 0.000
0.907 0.384 0.291
0.192 0.147 0.339
0.308 0.647 0.955
0.692 0.353 0.045
0.808 0.853 0.661
```

Peak list (8 most intense, 2θ from 15° to 90°, by angle)
d (Å)  I/Imax
3.028  48
2.931  84
2.836  100
2.814  75
2.709  33
2.431  25
1.710  23
1.541  29

=====

# 2
Mg14ZnGa: simulated powder X-ray diffraction pattern (Cu Kα, 1.54184 Å), based on a GGA-PBE-relaxed structure.
Neutral-atom scattering factors, no anomalous dispersion.

```
Mg14ZnGa
1.0
6.314 0.000 0.000
-3.157 5.468 0.000
0.000 0.000 10.050
Mg Zn Ga
14 1 1
direct
0.000 0.000 0.249
0.000 0.000 0.751
0.006 0.503 0.251
0.006 0.503 0.749
0.332 0.166 0.000
0.332 0.166 0.500
0.497 0.503 0.251
0.497 0.503 0.749
0.497 0.994 0.251
0.497 0.994 0.749
0.834 0.166 0.000
0.834 0.166 0.500
0.834 0.668 0.000
0.834 0.668 0.500
0.333 0.667 0.500
0.333 0.667 0.000
```

Peak list (8 most intense, 2θ from 15° to 90°, by angle)
d (Å)  I/Imax
5.468  19
2.734  26
2.512  25
2.402  100
1.850  16
1.578  17
1.428  18
1.337  19